Calculated XRD peak list of Ba2CaI6 for Cu Kα X-rays, from a DFT-relaxed cell (GGA-PBE, Alexandria).
No peak broadening, texture or thermal motion is included.

Atomic structure:
a = 7.6469 Å, b = 28.3628 Å, c = 8.5140 Å
α = 90.00°, β = 90.00°, γ = 90.00°
Atoms (fractional coordinates):
Ba (0.0000, 0.0507, 0.2500)
Ba (0.0000, 0.2831, 0.7500)
Ba (0.0000, 0.7170, 0.2500)
Ba (0.0000, 0.9493, 0.7500)
Ba (0.5000, 0.2170, 0.2500)
Ba (0.5000, 0.4493, 0.7500)
Ba (0.5000, 0.5507, 0.2500)
Ba (0.5000, 0.7830, 0.7500)
Ca (0.0000, 0.3823, 0.2500)
Ca (0.0000, 0.6177, 0.7500)
Ca (0.5000, 0.1177, 0.7500)
Ca (0.5000, 0.8823, 0.2500)
I (0.2340, 0.3704, 0.5526)
I (0.2340, 0.6296, 0.0526)
I (0.2381, 0.3041, 0.0875)
I (0.2381, 0.6959, 0.5875)
I (0.2443, 0.4603, 0.0904)
I (0.2443, 0.5397, 0.5904)
I (0.2557, 0.0397, 0.5904)
I (0.2557, 0.9603, 0.0904)
I (0.2619, 0.1959, 0.5875)
I (0.2619, 0.8041, 0.0875)
I (0.2660, 0.1296, 0.0526)
I (0.2660, 0.8704, 0.5526)
I (0.7340, 0.1296, 0.4474)
I (0.7340, 0.8704, 0.9474)
I (0.7381, 0.1959, 0.9125)
I (0.7381, 0.8041, 0.4125)
I (0.7443, 0.0397, 0.9096)
I (0.7443, 0.9603, 0.4096)
I (0.7557, 0.4603, 0.4096)
I (0.7557, 0.5397, 0.9096)
I (0.7619, 0.3041, 0.4125)
I (0.7619, 0.6959, 0.9125)
I (0.7660, 0.3704, 0.9474)
I (0.7660, 0.6296, 0.4474)

Top 8 peaks for 10 to 80 degrees two-theta, most intense first:
2θ/deg  d/Å  I (rel.)
24.48  3.636  100
23.92  3.719  46
31.89  2.807  46
36.94  2.433  38
31.45  2.845  32
18.20  4.875  28
41.63  2.170  22
38.07  2.364  19